Entry 1:
The following is a calculated powder XRD pattern of CsH8Ru2. It was derived from a cell relaxed with PBE, using λ = 1.5418 Å (Cu Kα).

Cell and atoms:
```
CsH8Ru2
1.0
4.9083 0.0000 0.0000
-2.4542 4.2507 0.0000
0.0000 0.0000 6.0904
Cs H Ru
1 8 2
Direct
0.0000 0.0000 0.0000
0.0000 0.3517 0.3789
0.0000 0.6830 0.6020
0.3170 0.3170 0.6020
0.3333 0.6667 0.7716
0.3517 0.0000 0.3789
0.6483 0.6483 0.3789
0.6667 0.3333 0.7716
0.6830 0.0000 0.6020
0.3333 0.6667 0.5124
0.6667 0.3333 0.5124
```

Main lines, most intense first (2θ from 10° to 90°):
two_theta  I_rel
25.56  100
36.62  40
47.59  37
29.33  24
45.19  21
59.50  18
49.77  16
73.15  10



Entry 2:
The following is a calculated powder XRD pattern of Cs2H7Ru2. It was derived from a cell relaxed with PBE, using λ = 1.5418 Å (Cu Kα).

Cell and atoms:
```
Cs2H7Ru2
1.0
3.1724 -3.4058 0.0000
3.1724 3.4058 0.0000
0.0000 0.0000 6.3135
Cs H Ru
2 7 2
Direct
0.2483 0.2483 0.0000
0.7517 0.7517 0.0000
0.0000 0.0000 0.5000
0.0000 0.5000 0.3558
0.0000 0.5000 0.6442
0.5000 0.0000 0.3558
0.5000 0.0000 0.6442
0.5000 0.5000 0.3703
0.5000 0.5000 0.6297
0.2656 0.7344 0.5000
0.7344 0.2656 0.5000
```

Main lines, most intense first (2θ from 10° to 90°):
two_theta  I_rel
29.81  100
31.56  87
28.27  58
48.69  50
38.79  46
51.01  21
63.76  21
52.16  21



Entry 3:
The following is a calculated powder XRD pattern of Cs3H5S2. It was derived from a cell relaxed with PBE, using λ = 1.5418 Å (Cu Kα).

Cell and atoms:
```
Cs3H5S2
1.0
-3.5053 8.7379 4.4251
3.5053 -8.7379 4.4251
3.5053 8.7379 -4.4251
Cs H S
6 10 4
Direct
0.1300 0.5299 0.6599
0.2500 0.2500 0.0000
0.3700 0.0299 0.4000
0.6300 0.9701 0.6000
0.7500 0.7500 0.0000
0.8700 0.4701 0.3401
0.0851 0.2500 0.8351
0.2109 0.9038 0.1148
0.2500 0.7500 0.5000
0.2891 0.4038 0.6929
0.4149 0.2500 0.1649
0.5851 0.7500 0.8351
0.7109 0.5962 0.3071
0.7500 0.2500 0.5000
0.7891 0.0962 0.8852
0.9149 0.7500 0.1649
0.1561 0.0373 0.1934
0.3439 0.5373 0.8811
0.6561 0.4627 0.1189
0.8439 0.9627 0.8066
```

Main lines, most intense first (2θ from 10° to 90°):
two_theta  I_rel
24.33  100
28.71  87
19.82  72
38.71  69
25.41  61
28.54  41
22.52  27
43.58  25



Entry 4:
The following is a calculated powder XRD pattern of CsH2S2. It was derived from a cell relaxed with PBE, using λ = 1.5418 Å (Cu Kα).

Cell and atoms:
```
CsH2S2
1.0
5.9431 0.0000 0.0000
0.0000 3.1775 0.0000
-2.8470 0.0000 5.5987
Cs H S
1 2 2
Direct
0.0000 0.0000 0.0000
0.3927 0.5000 0.6213
0.6560 0.0000 0.3101
0.3228 0.0000 0.6459
0.6053 0.5000 0.2177
```

Main lines, most intense first (2θ from 10° to 90°):
two_theta  I_rel
15.83  100
27.95  70
30.08  66
28.52  66
32.87  59
33.04  56
17.05  49
16.74  47



Entry 5:
The following is a calculated powder XRD pattern of Cs2H3S2. It was derived from a cell relaxed with PBE, using λ = 1.5418 Å (Cu Kα).

Cell and atoms:
```
Cs2H3S2
1.0
6.0016 0.0000 0.0000
0.0000 4.5973 0.0000
-0.9555 0.0000 5.9591
Cs H S
2 3 2
Direct
0.2459 0.0000 0.2538
0.7541 0.0000 0.7462
0.0556 0.5000 0.5549
0.5000 0.5000 0.0000
0.9444 0.5000 0.4451
0.2922 0.5000 0.7951
0.7078 0.5000 0.2049
```

Main lines, most intense first (2θ from 10° to 90°):
two_theta  I_rel
30.02  100
27.49  95
19.34  67
30.16  33
50.14  30
22.78  29
35.92  19
39.19  18



Entry 6:
The following is a calculated powder XRD pattern of CsH6S3. It was derived from a cell relaxed with PBE, using λ = 1.5418 Å (Cu Kα).

Cell and atoms:
```
CsH6S3
1.0
3.9542 2.2829 3.4786
-3.9542 2.2829 3.4786
0.0000 -4.5659 3.4786
Cs H S
1 6 3
Direct
0.0000 0.0000 0.0000
0.1642 0.3664 0.3664
0.1764 0.6015 0.6015
0.3664 0.1642 0.3664
0.3664 0.3664 0.1642
0.6015 0.1764 0.6015
0.6015 0.6015 0.1764
0.5093 0.5093 0.9916
0.5093 0.9916 0.5093
0.9916 0.5093 0.5093
```

Main lines, most intense first (2θ from 10° to 90°):
two_theta  I_rel
27.41  100
31.24  67
15.48  55
25.61  39
21.41  28
22.49  27
53.30  27
43.61  25